1.
Starting from a structure optimized by DFT (GGA-PBE), the powder diffraction line list of Nd2Ge6Pd21 was simulated for Cu Kα, 1.54184 Å.
Intensities are scaled so that the largest is 1000.

Largest 8 diffraction maxima, low angle first, 2θ = 5–70°:
| Position (°2θ) | I (rel.) |
| --- | --- |
| 32.03 | 187 |
| 35.19 | 224 |
| 37.40 | 1000 |
| 40.85 | 491 |
| 42.82 | 325 |
| 48.32 | 272 |
| 63.14 | 249 |
| 64.60 | 132 |

abc: 8.8354 8.8354 8.8354
angles: 60.00 60.00 60.00
Sites, in units of the cell vectors:
1 Nd 0.2500 0.2500 0.2500
2 Nd 0.7500 0.7500 0.7500
3 Ge 0.2349 0.2349 0.7651
4 Ge 0.2349 0.7651 0.2349
5 Ge 0.2349 0.7651 0.7651
6 Ge 0.7651 0.2349 0.2349
7 Ge 0.7651 0.2349 0.7651
8 Ge 0.7651 0.7651 0.2349
9 Pd 0.1166 0.1166 0.1166
10 Pd 0.1166 0.1166 0.6503
11 Pd 0.1166 0.6503 0.1166
12 Pd 0.1534 0.5000 0.5000
13 Pd 0.1534 0.5000 0.8466
14 Pd 0.1534 0.8466 0.5000
15 Pd 0.3497 0.8834 0.8834
16 Pd 0.5000 0.1534 0.5000
17 Pd 0.5000 0.1534 0.8466
18 Pd 0.5000 0.5000 0.1534
19 Pd 0.5000 0.5000 0.5000
20 Pd 0.5000 0.5000 0.8466
21 Pd 0.5000 0.8466 0.1534
22 Pd 0.5000 0.8466 0.5000
23 Pd 0.6503 0.1166 0.1166
24 Pd 0.8466 0.1534 0.5000
25 Pd 0.8466 0.5000 0.1534
26 Pd 0.8466 0.5000 0.5000
27 Pd 0.8834 0.3497 0.8834
28 Pd 0.8834 0.8834 0.3497
29 Pd 0.8834 0.8834 0.8834

2.
Starting from a structure optimized by DFT (GGA-PBE), the powder diffraction line list of V3Cr3C was simulated for Cu Kα, 1.54184 Å.
Intensities are scaled so that the largest is 1000.

Largest 8 diffraction maxima, low angle first, 2θ = 5–70°:
| Position (°2θ) | I (rel.) |
| --- | --- |
| 14.03 | 88 |
| 35.80 | 79 |
| 40.42 | 311 |
| 42.99 | 1000 |
| 47.02 | 278 |
| 49.31 | 35 |
| 50.06 | 108 |
| 55.77 | 60 |

abc: 7.7307 7.7307 7.7307
angles: 60.00 60.00 60.00
Sites, in units of the cell vectors:
1 V 0.0634 0.0634 0.6866
2 V 0.0634 0.6866 0.0634
3 V 0.0634 0.6866 0.6866
4 V 0.3134 0.3134 0.9366
5 V 0.3134 0.9366 0.3134
6 V 0.3134 0.9366 0.9366
7 V 0.6866 0.0634 0.0634
8 V 0.6866 0.0634 0.6866
9 V 0.6866 0.6866 0.0634
10 V 0.9366 0.3134 0.3134
11 V 0.9366 0.3134 0.9366
12 V 0.9366 0.9366 0.3134
13 Cr 0.0000 0.5000 0.5000
14 Cr 0.2916 0.2916 0.2916
15 Cr 0.2916 0.2916 0.6251
16 Cr 0.2916 0.6251 0.2916
17 Cr 0.3749 0.7084 0.7084
18 Cr 0.5000 0.0000 0.5000
19 Cr 0.5000 0.5000 0.0000
20 Cr 0.5000 0.5000 0.5000
21 Cr 0.6251 0.2916 0.2916
22 Cr 0.7084 0.3749 0.7084
23 Cr 0.7084 0.7084 0.3749
24 Cr 0.7084 0.7084 0.7084
25 C 0.0000 0.0000 0.0000
26 C 0.0000 0.0000 0.5000
27 C 0.0000 0.5000 0.0000
28 C 0.5000 0.0000 0.0000